(1)
For TlHCO2, DFT lattice parameters and positions (GGA-PBE) gives the theoretical powder diffractogram in this record (Cu Kα, 1.54184 Å).

Principal peaks in the range 10 to 90 degrees two-theta, by angle:
2θ 19.24, rel. 78; 2θ 22.09, rel. 25; 2θ 25.10, rel. 24; 2θ 29.45, rel. 100; 2θ 33.68, rel. 28; 2θ 45.32, rel. 18; 2θ 47.00, rel. 22; 2θ 52.24, rel. 19

```
20
Lattice="7.096 0.000 0.000 0.000 8.047 0.000 0.000 0.000 6.071" Properties=species:S:1:pos:R:3 pbc="T T T"
Tl 1.774 0.000 1.328
Tl 1.774 4.024 1.708
Tl 5.322 0.000 4.743
Tl 5.322 4.024 4.364
H 1.292 2.012 4.553
H 2.257 6.035 4.553
H 4.840 2.012 1.518
H 5.805 6.035 1.518
C 1.143 6.035 4.553
C 2.406 2.012 4.553
C 4.691 6.035 1.518
C 5.954 2.012 1.518
O 0.557 5.469 3.578
O 0.557 6.602 5.529
O 2.991 1.445 5.529
O 2.991 2.578 3.578
O 4.105 5.469 2.493
O 4.105 6.602 0.542
O 6.539 1.445 0.542
O 6.539 2.578 2.493
```

***

(2)
For NaDyO2, DFT lattice parameters and positions (GGA-PBE) gives the theoretical powder diffractogram in this record (Cu Kα, 1.54184 Å).

Principal peaks in the range 10 to 90 degrees two-theta, by angle:
2θ 21.01, rel. 97; 2θ 32.33, rel. 100; 2θ 34.57, rel. 30; 2θ 38.91, rel. 47; 2θ 44.63, rel. 27; 2θ 53.02, rel. 34; 2θ 60.54, rel. 16; 2θ 66.35, rel. 24

```
8
Lattice="-2.315 2.315 5.190 2.315 -2.315 5.190 2.315 2.315 -5.190" Properties=species:S:1:pos:R:3 pbc="T T T"
Na 2.315 1.157 1.297
Na 0.000 1.157 3.892
Dy 2.315 -1.157 3.892
Dy 0.000 3.472 1.297
O 2.315 1.157 -1.593
O 0.000 1.157 1.001
O 2.315 1.157 4.188
O 0.000 1.157 6.783
```

***

(3)
For Sm6Fe13Pb, DFT lattice parameters and positions (GGA-PBE) gives the theoretical powder diffractogram in this record (Cu Kα, 1.54184 Å).

Principal peaks in the range 10 to 90 degrees two-theta, by angle:
2θ 27.36, rel. 73; 2θ 27.81, rel. 38; 2θ 31.47, rel. 100; 2θ 32.05, rel. 47; 2θ 34.58, rel. 38; 2θ 35.36, rel. 98; 2θ 38.14, rel. 63; 2θ 43.04, rel. 46

```
40
Lattice="-4.013 4.013 11.665 4.013 -4.013 11.665 4.013 4.013 -11.665" Properties=species:S:1:pos:R:3 pbc="T T T"
Sm 2.713 -1.301 4.290
Sm 0.000 0.000 2.409
Sm 5.314 -1.301 7.375
Sm 5.314 1.301 4.290
Sm 0.000 0.000 9.256
Sm 2.713 1.301 7.375
Sm 1.301 2.713 4.290
Sm 0.000 0.000 14.074
Sm -1.301 2.713 7.375
Sm -1.301 5.314 4.290
Sm 0.000 0.000 20.922
Sm 1.301 5.314 7.375
Fe 4.013 0.000 0.000
Fe 3.102 0.911 -2.203
Fe 1.680 0.530 0.000
Fe 5.451 1.437 -1.390
Fe 3.102 0.911 2.203
Fe 3.483 -2.334 11.665
Fe 5.451 1.437 1.390
Fe 1.437 2.576 -1.390
Fe 3.483 2.334 0.000
Fe 3.102 -0.911 9.462
Fe 1.437 2.576 1.390
Fe 1.680 -0.530 11.665
Fe 3.102 -0.911 13.869
Fe 0.000 4.013 0.000
Fe 0.911 4.925 -2.203
Fe 2.334 4.544 0.000
Fe 2.576 1.437 10.276
Fe 0.911 4.925 2.203
Fe 0.530 1.680 11.665
Fe 2.576 1.437 13.055
Fe -1.437 2.576 10.276
Fe 0.530 6.347 0.000
Fe 0.911 3.102 9.462
Fe -1.437 2.576 13.055
Fe 2.334 3.483 11.665
Fe 0.911 3.102 13.869
Pb 0.000 0.000 5.833
Pb 0.000 0.000 17.498
```

***

(4)
For DyGeRu, DFT lattice parameters and positions (GGA-PBE) gives the theoretical powder diffractogram in this record (Cu Kα, 1.54184 Å).

Principal peaks in the range 10 to 90 degrees two-theta, by angle:
2θ 34.38, rel. 74; 2θ 34.78, rel. 100; 2θ 35.51, rel. 29; 2θ 40.33, rel. 31; 2θ 40.69, rel. 46; 2θ 42.59, rel. 40; 2θ 58.63, rel. 22; 2θ 68.72, rel. 27

```
12
Lattice="7.053 0.000 0.000 0.000 4.435 0.000 0.000 0.000 7.252" Properties=species:S:1:pos:R:3 pbc="T T T"
Dy 0.102 1.109 1.391
Dy 3.424 3.326 5.017
Dy 3.628 1.109 2.236
Dy 6.951 3.326 5.862
Ge 1.428 1.109 4.397
Ge 2.098 3.326 0.771
Ge 4.955 1.109 6.482
Ge 5.624 3.326 2.856
Ru 1.093 3.326 3.161
Ru 2.433 1.109 6.787
Ru 4.619 3.326 0.465
Ru 5.960 1.109 4.091
```

***

(5)
For EuAs2Pd2, DFT lattice parameters and positions (GGA-PBE) gives the theoretical powder diffractogram in this record (Cu Kα, 1.54184 Å).

Principal peaks in the range 10 to 90 degrees two-theta, by angle:
2θ 33.04, rel. 48; 2θ 33.77, rel. 100; 2θ 41.32, rel. 55; 2θ 48.60, rel. 19; 2θ 53.89, rel. 24; 2θ 59.86, rel. 18; 2θ 65.64, rel. 15; 2θ 70.52, rel. 23

```
5
Lattice="-2.185 2.185 5.184 2.185 -2.185 5.184 2.185 2.185 -5.184" Properties=species:S:1:pos:R:3 pbc="T T T"
Eu 0.000 0.000 0.000
As 0.000 0.000 3.928
As 0.000 0.000 6.440
Pd 2.185 0.000 2.592
Pd 0.000 2.185 2.592
```

***

(6)
For KRb2ScBr6, DFT lattice parameters and positions (GGA-PBE) gives the theoretical powder diffractogram in this record (Cu Kα, 1.54184 Å).

Principal peaks in the range 10 to 90 degrees two-theta, by angle:
2θ 26.63, rel. 100; 2θ 30.84, rel. 86; 2θ 44.18, rel. 58; 2θ 52.33, rel. 39; 2θ 54.85, rel. 19; 2θ 70.84, rel. 13; 2θ 72.97, rel. 21; 2θ 81.29, rel. 15

```
10
Lattice="0.000 5.798 5.798 5.798 0.000 5.798 5.798 5.798 0.000" Properties=species:S:1:pos:R:3 pbc="T T T"
K 0.000 0.000 0.000
Rb 2.899 2.899 2.899
Rb 8.697 8.697 8.697
Sc 5.798 5.798 5.798
Br 5.798 5.798 3.138
Br 5.798 3.138 5.798
Br 8.458 5.798 5.798
Br 3.138 5.798 5.798
Br 5.798 8.458 5.798
Br 5.798 5.798 8.458
```

***

(7)
For PtBr3N2, DFT lattice parameters and positions (GGA-PBE) gives the theoretical powder diffractogram in this record (Cu Kα, 1.54184 Å).

Principal peaks in the range 10 to 90 degrees two-theta, by angle:
2θ 16.23, rel. 81; 2θ 18.87, rel. 100; 2θ 24.58, rel. 53; 2θ 28.87, rel. 33; 2θ 34.66, rel. 46; 2θ 38.27, rel. 28; 2θ 45.73, rel. 46; 2θ 58.88, rel. 22

```
6
Lattice="-3.622 4.156 3.093 3.622 -4.156 3.093 3.622 4.156 -3.093" Properties=species:S:1:pos:R:3 pbc="T T T"
Pt 0.000 0.000 0.000
Br 3.622 -1.599 2.835
Br 0.000 0.000 2.409
Br 3.622 1.599 2.835
N -2.042 4.156 2.292
N 2.042 4.156 2.292
```

***

(8)
For YSi2Ir2, DFT lattice parameters and positions (GGA-PBE) gives the theoretical powder diffractogram in this record (Cu Kα, 1.54184 Å).

Principal peaks in the range 10 to 90 degrees two-theta, by angle:
2θ 27.14, rel. 41; 2θ 28.15, rel. 43; 2θ 31.89, rel. 100; 2θ 34.86, rel. 57; 2θ 35.67, rel. 100; 2θ 43.73, rel. 77; 2θ 48.28, rel. 51; 2θ 52.23, rel. 29

```
10
Lattice="4.140 0.000 0.000 0.000 4.140 0.000 0.000 0.000 9.856" Properties=species:S:1:pos:R:3 pbc="T T T"
Y 1.035 1.035 2.413
Y 3.105 3.105 7.443
Si 1.035 1.035 6.220
Si 1.035 3.105 0.000
Si 3.105 1.035 0.000
Si 3.105 3.105 3.636
Ir 1.035 1.035 8.592
Ir 1.035 3.105 4.928
Ir 3.105 1.035 4.928
Ir 3.105 3.105 1.264
```

***

- Number 7 is which compound?
  PtBr3N2